No. 1
This entry pairs a crystal structure of CeGe3Rh with its computed X-ray diffraction stick pattern. Radiation: Cu Kα, 1.54184 Å. Structure: DFT lattice parameters and positions (GGA-PBE).

Most intense lines, 2θ from 10° to 90°, by intensity:
2theta	I_rel
33.81	100
40.94	78
33.54	71
53.92	36
46.33	27
28.63	27
59.28	26
70.01	24
49.74	18
62.85	17

Crystal structure
Cell: 5.925 5.925 5.925 Å, 136.31 136.31 63.49°
Sites, in units of the cell vectors:
1 Ce 0.000 0.000 0.000
2 Ge 0.267 0.767 0.500
3 Ge 0.425 0.425 0.000
4 Ge 0.767 0.267 0.500
5 Rh 0.663 0.663 0.000

=====

No. 2
This entry pairs a crystal structure of Ce3Ge4Rh with its computed X-ray diffraction stick pattern. Radiation: Cu Kα, 1.54184 Å. Structure: DFT lattice parameters and positions (GGA-PBE).

Most intense lines, 2θ from 10° to 90°, by intensity:
2theta	I_rel
27.91	100
36.04	39
40.52	35
40.74	34
35.88	32
38.46	27
24.08	24
39.01	24
50.37	20
59.45	19

Crystal structure
Cell: 7.879 7.879 7.879 Å, 147.35 133.50 57.97°
Sites, in units of the cell vectors:
1 Ce 0.000 0.000 0.000
2 Ce 0.319 0.819 0.500
3 Ce 0.681 0.181 0.500
4 Ge 0.084 0.376 0.708
5 Ge 0.332 0.624 0.708
6 Ge 0.668 0.376 0.292
7 Ge 0.916 0.624 0.292
8 Rh 0.500 0.500 0.000

=====

No. 3
This entry pairs a crystal structure of Ce2Ge6Rh9 with its computed X-ray diffraction stick pattern. Radiation: Cu Kα, 1.54184 Å. Structure: DFT lattice parameters and positions (GGA-PBE).

Most intense lines, 2θ from 10° to 90°, by intensity:
2theta	I_rel
39.91	100
44.16	74
36.70	64
66.10	31
18.11	28
61.99	27
86.09	23
29.98	22
48.47	21
24.08	19

Crystal structure
Cell: 5.655 5.655 11.269 Å, 90.00 90.00 120.00°
Sites, in units of the cell vectors:
1 Ce 0.000 0.000 0.200
2 Ce 0.000 0.000 0.800
3 Ge 0.333 0.667 0.165
4 Ge 0.333 0.667 0.500
5 Ge 0.333 0.667 0.835
6 Ge 0.667 0.333 0.165
7 Ge 0.667 0.333 0.500
8 Ge 0.667 0.333 0.835
9 Rh 0.000 0.500 0.000
10 Rh 0.000 0.500 0.332
11 Rh 0.000 0.500 0.668
12 Rh 0.500 0.000 0.000
13 Rh 0.500 0.000 0.332
14 Rh 0.500 0.000 0.668
15 Rh 0.500 0.500 0.000
16 Rh 0.500 0.500 0.332
17 Rh 0.500 0.500 0.668

=====

No. 4
This entry pairs a crystal structure of Ce4Ge16Rh3 with its computed X-ray diffraction stick pattern. Radiation: Cu Kα, 1.54184 Å. Structure: DFT lattice parameters and positions (GGA-PBE).

Most intense lines, 2θ from 10° to 90°, by intensity:
2theta	I_rel
37.37	100
40.83	76
31.17	37
32.73	29
72.06	25
59.12	24
58.36	24
43.13	23
39.83	20
52.25	15

Crystal structure
Cell: 6.251 6.251 11.317 Å, 90.00 90.00 90.00°
Sites, in units of the cell vectors:
1 Ce 0.000 0.500 0.188
2 Ce 0.000 0.500 0.812
3 Ce 0.500 0.000 0.188
4 Ce 0.500 0.000 0.812
5 Ge 0.000 0.000 0.207
6 Ge 0.000 0.000 0.793
7 Ge 0.215 0.215 0.000
8 Ge 0.215 0.785 0.000
9 Ge 0.250 0.250 0.379
10 Ge 0.250 0.250 0.621
11 Ge 0.250 0.750 0.379
12 Ge 0.250 0.750 0.621
13 Ge 0.500 0.500 0.233
14 Ge 0.500 0.500 0.767
15 Ge 0.750 0.250 0.379
16 Ge 0.750 0.250 0.621
17 Ge 0.750 0.750 0.379
18 Ge 0.750 0.750 0.621
19 Ge 0.785 0.215 0.000
20 Ge 0.785 0.785 0.000
21 Rh 0.000 0.500 0.500
22 Rh 0.500 0.000 0.500
23 Rh 0.500 0.500 0.000

=====

No. 5
This entry pairs a crystal structure of CeGe12Rh4 with its computed X-ray diffraction stick pattern. Radiation: Cu Kα, 1.54184 Å. Structure: DFT lattice parameters and positions (GGA-PBE).

Most intense lines, 2θ from 10° to 90°, by intensity:
2theta	I_rel
32.81	100
51.89	49
39.04	47
54.18	38
29.26	34
47.08	34
68.78	15
74.56	14
76.44	11
85.70	10

Crystal structure
Cell: 7.476 7.476 7.476 Å, 109.47 109.47 109.47°
Sites, in units of the cell vectors:
1 Ce 0.000 0.000 0.000
2 Ge 0.153 0.502 0.349
3 Ge 0.153 0.804 0.651
4 Ge 0.196 0.349 0.847
5 Ge 0.349 0.153 0.502
6 Ge 0.349 0.847 0.196
7 Ge 0.498 0.651 0.847
8 Ge 0.502 0.349 0.153
9 Ge 0.651 0.153 0.804
10 Ge 0.651 0.847 0.498
11 Ge 0.804 0.651 0.153
12 Ge 0.847 0.196 0.349
13 Ge 0.847 0.498 0.651
14 Rh 0.000 0.000 0.500
15 Rh 0.000 0.500 0.000
16 Rh 0.500 0.000 0.000
17 Rh 0.500 0.500 0.500

=====

No. 6
This entry pairs a crystal structure of Ce2Ge4Rh5 with its computed X-ray diffraction stick pattern. Radiation: Cu Kα, 1.54184 Å. Structure: DFT lattice parameters and positions (GGA-PBE).

Most intense lines, 2θ from 10° to 90°, by intensity:
2theta	I_rel
40.10	100
36.78	99
36.55	79
30.51	62
49.73	40
32.31	37
44.56	37
66.25	34
63.28	31
87.19	30

Crystal structure
Cell: 8.804 7.867 5.643 Å, 79.48 61.46 39.06°
Sites, in units of the cell vectors:
1 Ce 0.129 0.129 0.871
2 Ce 0.871 0.871 0.129
3 Ge 0.214 0.524 0.476
4 Ge 0.476 0.786 0.214
5 Ge 0.524 0.214 0.786
6 Ge 0.786 0.476 0.524
7 Rh 0.000 0.000 0.500
8 Rh 0.250 0.250 0.250
9 Rh 0.500 0.500 0.000
10 Rh 0.500 0.500 0.500
11 Rh 0.750 0.750 0.750